1.
For TeO3, DFT lattice parameters and positions (GGA-PBE) gives the calculated powder diffraction line list in this record (copper Kα).
Intensities are scaled so that the largest is 100.

Top 6 peaks for 2θ = 10–80°, in order of falling intensity:
d/Å  2θ/deg  intensity
3.646  24.41  100
2.637  34.00  35
1.660  55.34  26
2.524  35.57  22
1.603  57.50  17
2.075  43.62  16

Atomic structure:
Cell lengths 5.2846, 5.2846, 5.2846 Å; angles 57.05, 57.05, 57.05 degrees
Positions (direct):
Te 0.0000 0.0000 0.0000
Te 0.5000 0.5000 0.5000
O 0.1141 0.7500 0.3859
O 0.2500 0.6141 0.8859
O 0.3859 0.1141 0.7500
O 0.6141 0.8859 0.2500
O 0.7500 0.3859 0.1141
O 0.8859 0.2500 0.6141

2.
For TiTeO3, DFT lattice parameters and positions (GGA-PBE) gives the calculated powder diffraction line list in this record (copper Kα).
Intensities are scaled so that the largest is 100.

Top 6 peaks for 2θ = 10–80°, in order of falling intensity:
d/Å  2θ/deg  intensity
2.802  31.94  100
1.618  56.92  38
1.981  45.80  35
2.288  39.39  25
1.401  66.77  21
3.962  22.44  17

Atomic structure:
Cell lengths 3.9625, 3.9625, 3.9625 Å; angles 90.00, 90.00, 90.00 degrees
Positions (direct):
Ti 0.0000 0.0000 0.0000
Te 0.5000 0.5000 0.5000
O 0.0000 0.0000 0.5000
O 0.0000 0.5000 0.0000
O 0.5000 0.0000 0.0000